This entry pairs a crystal structure of Zn3As2 with its theoretical X-ray diffraction stick pattern. Radiation: Cu Kα, 1.54184 Å. Structure: a DFT-relaxed cell (PBE, the Materials Project).

The 8 most intense peaks (2θ = 10–80°), most intense first:
- hkl 2 2 0, 2θ = 42.95°, I = 100
- hkl 1 1 1, 2θ = 25.91°, I = 46
- hkl 4 2 2, 2θ = 78.71°, I = 31
- hkl 1 1 0, 2θ = 21.09°, I = 24
- hkl 3 1 1, 2θ = 50.85°, I = 21
- hkl 4 0 0, 2θ = 62.36°, I = 16
- hkl 2 1 1, 2θ = 36.97°, I = 12
- hkl 3 3 1, 2θ = 68.69°, I = 9

Structural model:
Lattice parameters (Å, degrees): 5.956 5.956 5.956 90.00 90.00 90.00
Fractional coordinates of all 10 atoms:
Zn  0.250  0.250  0.750
Zn  0.250  0.750  0.250
Zn  0.250  0.750  0.750
Zn  0.750  0.250  0.250
Zn  0.750  0.250  0.750
Zn  0.750  0.750  0.250
As  0.000  0.000  0.000
As  0.000  0.500  0.500
As  0.500  0.000  0.500
As  0.500  0.500  0.000